Be17RePd: theoretical X-ray powder pattern (CuKα), based on a cell relaxed with GGA-PBE.
Intensities are scaled so that the largest is 100.

Structural model:
```
data_Be17RePd
_chemical_formula_sum 'Be51 Re3 Pd3'
_cell_length_a 7.2564
_cell_length_b 7.2564
_cell_length_c 10.6209
_cell_angle_alpha 90.00
_cell_angle_beta 90.00
_cell_angle_gamma 120.00
_symmetry_space_group_name_H-M 'R 3 m'
_symmetry_Int_Tables_number 160
_symmetry_space_group_name_Hall 'R 3 -2"'
loop_
_atom_site_label
_atom_site_type_symbol
_atom_site_fract_x
_atom_site_fract_y
_atom_site_fract_z
Be1 Be 0.0000 0.0000 0.0533
Be2 Be 0.0000 0.0000 0.2575
Be3 Be 0.0001 0.3027 0.1564
Be4 Be 0.0072 0.5036 0.3089
Be5 Be 0.1688 0.3376 0.3333
Be6 Be 0.1723 0.3446 0.9943
Re1 Re 0.0000 0.0000 0.4936
Pd1 Pd 0.0000 0.0000 0.8043
```

Principal peaks in the range 2θ = 10–90°, by angle:
hkl  d [Å]  2θ (°)  Rel. int.
1 0 1  5.408  16.39  94
0 1 2  4.056  21.91  27
1 1 0  3.628  24.54  100
0 0 3  3.540  25.15  31
0 2 1  3.013  29.65  25
1 1 3  2.534  35.43  88
1 0 4  2.446  36.74  24
2 1 1  2.318  38.85  24
3 0 0  2.095  43.19  32
0 3 3  1.803  50.63  43
0 0 6  1.770  51.63  27
4 1 3  1.279  74.15  30